[1]
AlCuO3: computed X-ray powder pattern (CuKα), based on a cell relaxed with GGA-PBE.
Neutral-atom scattering factors, no anomalous dispersion.

Structure:
Cell lengths 4.8708, 8.7029, 4.5636 Å; angles 90.00, 90.00, 90.00 degrees
Space group Pnma (No. 62)
Unique sites:
Al 0.0550 0.2500 0.0420
Cu 0.0000 0.0000 0.5000
O 0.1396 0.7500 0.2938
O 0.2236 0.6042 0.7829

Largest 10 diffraction maxima, low angle first, 2θ = 10–80°:
2theta	I/Imax	h k l
20.41	11	0 2 0
26.77	24	1 0 1
33.90	100	1 2 1
41.50	12	0 4 0
55.16	18	2 0 2
56.74	16	2 4 0
58.63	12	0 4 2
64.58	13	3 2 1
68.07	13	1 2 3
70.86	11	1 6 1

---

[2]
RbAc3: computed X-ray powder pattern (CuKα), based on a cell relaxed with GGA-PBE.
Neutral-atom scattering factors, no anomalous dispersion.

Structure:
Cell lengths 8.3969, 8.3969, 6.5840 Å; angles 90.00, 90.00, 120.00 degrees
Space group P6_3/mmc (No. 194)
Unique sites:
Rb 0.3333 0.6667 0.2500
Ac 0.1593 0.3186 0.7500

Largest 10 diffraction maxima, low angle first, 2θ = 10–80°:
2theta	I/Imax	h k l
24.48	23	2 0 0
27.09	25	0 0 2
28.03	100	2 0 1
36.83	16	2 0 2
43.09	21	2 2 0
48.45	23	2 0 3
51.64	25	2 2 2
52.20	18	4 0 1
69.93	14	4 2 1
73.05	9	2 2 4